Calculated X-ray diffraction stick pattern of PaNi2AsO8 for Cu Kα (weighted mean of Kα1 and Kα2), from a crystal structure in Alexandria, relaxed with PBE+U.

The 10 most intense peaks (2θ = 10–90°), low angle first:
2θ 19.29, I = 40; 2θ 23.65, I = 37; 2θ 27.39, I = 68; 2θ 27.43, I = 57; 2θ 33.65, I = 100; 2θ 39.12, I = 44; 2θ 52.57, I = 78; 2θ 56.59, I = 19; 2θ 63.77, I = 19; 2θ 67.47, I = 23

Crystal structure
```
data_PaNi2AsO8
_chemical_formula_sum 'Pa1 Ni2 As1 O8'
_symmetry_space_group_name_H-M 'P 1'
_symmetry_Int_Tables_number 1
_cell_length_a 4.600
_cell_length_b 4.600
_cell_length_c 6.532
_cell_angle_alpha 90.00
_cell_angle_beta 90.00
_cell_angle_gamma 90.06
loop_
_symmetry_equiv_pos_as_xyz
'x,y,z'
loop_
_atom_site_label
_atom_site_fract_x
_atom_site_fract_y
_atom_site_fract_z
Pa1 0.000 0.000 0.000
Ni1 0.500 0.500 0.271
Ni2 0.500 0.500 0.729
As1 0.000 0.000 0.500
O1 0.190 0.810 0.288
O2 0.190 0.810 0.712
O3 0.285 0.285 0.500
O4 0.313 0.313 0.000
O5 0.687 0.687 0.000
O6 0.715 0.715 0.500
O7 0.810 0.190 0.288
O8 0.810 0.190 0.712
```